1.
Starting from DFT lattice parameters and positions (GGA-PBE), the powder XRD pattern of DyB4Mo was calculated for copper Kα.

Crystal structure
```
data_DyB4Mo
_chemical_formula_sum 'Dy4 B16 Mo4'
_symmetry_space_group_name_H-M 'P 1'
_symmetry_Int_Tables_number 1
_symmetry_space_group_name_Hall 'P 1'
_cell_length_a 6.036
_cell_length_b 11.657
_cell_length_c 3.626
_cell_angle_alpha 90.00
_cell_angle_beta 90.00
_cell_angle_gamma 90.00
loop_
_atom_site_label
_atom_site_type_symbol
_atom_site_fract_x
_atom_site_fract_y
_atom_site_fract_z
_atom_site_occupancy
Dy1 Dy 0.127 0.150 0.000 1
Dy2 Dy 0.373 0.650 0.000 1
Dy3 Dy 0.627 0.350 0.000 1
Dy4 Dy 0.873 0.850 0.000 1
B1 B 0.024 0.694 0.500 1
B2 B 0.114 0.548 0.500 1
B3 B 0.133 0.968 0.500 1
B4 B 0.213 0.814 0.500 1
B5 B 0.287 0.314 0.500 1
B6 B 0.367 0.468 0.500 1
B7 B 0.386 0.048 0.500 1
B8 B 0.476 0.194 0.500 1
B9 B 0.524 0.806 0.500 1
B10 B 0.614 0.952 0.500 1
B11 B 0.633 0.532 0.500 1
B12 B 0.713 0.686 0.500 1
B13 B 0.787 0.186 0.500 1
B14 B 0.867 0.032 0.500 1
B15 B 0.886 0.452 0.500 1
B16 B 0.976 0.306 0.500 1
Mo1 Mo 0.130 0.416 0.000 1
Mo2 Mo 0.370 0.916 0.000 1
Mo3 Mo 0.630 0.084 0.000 1
Mo4 Mo 0.870 0.584 0.000 1
```

Largest 6 diffraction maxima, sorted by position, 2θ from 10° to 90°:
| 2θ/deg | Rel. int. | (hkl) |
| --- | --- | --- |
| 24.6 | 81 | 0 0 1 |
| 30.6 | 81 | 0 4 0 |
| 37.0 | 28 | 1 3 1 |
| 39.6 | 100 | 0 4 1 |
| 42.5 | 28 | 1 4 1 |
| 45.5 | 30 | 2 3 1 |

2.
Starting from DFT lattice parameters and positions (GGA-PBE), the powder XRD pattern of Nd3DyB2N6 was calculated for copper Kα.

Crystal structure
```
data_Nd3DyB2N6
_chemical_formula_sum 'Nd3 Dy1 B2 N6'
_symmetry_space_group_name_H-M 'P 1'
_symmetry_Int_Tables_number 1
_symmetry_space_group_name_Hall 'P 1'
_cell_length_a 5.629
_cell_length_b 5.629
_cell_length_c 6.346
_cell_angle_alpha 90.00
_cell_angle_beta 90.00
_cell_angle_gamma 120.00
loop_
_atom_site_label
_atom_site_type_symbol
_atom_site_fract_x
_atom_site_fract_y
_atom_site_fract_z
_atom_site_occupancy
Nd1 Nd 0.000 0.000 0.000 1
Nd2 Nd 0.333 0.667 0.661 1
Nd3 Nd 0.667 0.333 0.339 1
Dy1 Dy 0.000 0.000 0.500 1
B1 B 0.333 0.667 0.248 1
B2 B 0.667 0.333 0.752 1
N1 N 0.185 0.370 0.274 1
N2 N 0.185 0.815 0.274 1
N3 N 0.370 0.185 0.726 1
N4 N 0.630 0.815 0.274 1
N5 N 0.815 0.185 0.726 1
N6 N 0.815 0.630 0.726 1
```

Largest 6 diffraction maxima, sorted by position, 2θ from 10° to 90°:
| 2θ/deg | Rel. int. | (hkl) |
| --- | --- | --- |
| 18.2 | 27 | 1 0 0 |
| 23.0 | 40 | 1 0 1 |
| 31.8 | 100 | 1 1 0 |
| 33.7 | 93 | 0 1 2 |
| 47.0 | 44 | 2 0 2 |
| 57.9 | 37 | 1 2 2 |

3.
Starting from DFT lattice parameters and positions (GGA-PBE), the powder XRD pattern of SrDyBN2 was calculated for copper Kα.

Crystal structure
```
data_SrDyBN2
_chemical_formula_sum 'Sr2 Dy2 B2 N4'
_symmetry_space_group_name_H-M 'P 1'
_symmetry_Int_Tables_number 1
_symmetry_space_group_name_Hall 'P 1'
_cell_length_a 5.107
_cell_length_b 5.377
_cell_length_c 6.830
_cell_angle_alpha 90.00
_cell_angle_beta 90.00
_cell_angle_gamma 90.00
loop_
_atom_site_label
_atom_site_type_symbol
_atom_site_fract_x
_atom_site_fract_y
_atom_site_fract_z
_atom_site_occupancy
Sr1 Sr 0.000 0.000 0.250 1
Sr2 Sr 0.000 0.000 0.750 1
Dy1 Dy 0.500 0.500 0.250 1
Dy2 Dy 0.500 0.500 0.750 1
B1 B 0.000 0.500 0.000 1
B2 B 0.000 0.500 0.500 1
N1 N 0.217 0.352 0.000 1
N2 N 0.217 0.648 0.500 1
N3 N 0.783 0.352 0.500 1
N4 N 0.783 0.648 0.000 1
```

Largest 6 diffraction maxima, sorted by position, 2θ from 10° to 90°:
| 2θ/deg | Rel. int. | (hkl) |
| --- | --- | --- |
| 24.0 | 100 | 1 1 0 |
| 26.1 | 32 | 0 0 2 |
| 33.3 | 24 | 0 2 0 |
| 35.8 | 87 | 1 1 2 |
| 42.8 | 24 | 0 2 2 |
| 44.3 | 25 | 2 0 2 |